Structure and simulated PXRD pattern of Na3Ti2CrS6 (a GGA-PBE-relaxed structure; Cu Ka).
No peak broadening, texture or thermal motion is included.

Atomic structure:
Cell: 6.2433 6.2433 6.9066 Å, 98.63 98.63 120.01°
Element x y z (fractional)
1 Na 0.0000 0.0000 0.0000
2 Na 0.3304 0.6696 0.0000
3 Na 0.6696 0.3304 0.0000
4 Ti 0.1608 0.8392 0.5000
5 Ti 0.8392 0.1608 0.5000
6 Cr 0.5000 0.5000 0.5000
7 S 0.1048 0.4325 0.2955
8 S 0.2450 0.2450 0.7108
9 S 0.4325 0.1048 0.2955
10 S 0.5675 0.8952 0.7045
11 S 0.7550 0.7550 0.2892
12 S 0.8952 0.5675 0.7045

Peak list (8 most intense, 2θ = 5–70°, sorted by position)
d (Å)  2theta  intensity
6.588  13.44  37.7
2.639  33.97  100.0
2.094  43.21  10.5
1.937  46.90  30.4
1.802  50.65  30.2
1.738  52.65  4.8
1.557  59.35  6.2
1.488  62.40  14.2